[1]
# RbAlInGe
Calculated powder X-ray diffraction pattern, Cu Kα X-rays. Input: a crystal structure in Alexandria, relaxed with PBE.

Structural model:
Unit cell a=4.171 b=4.171 c=14.594 alpha=90.00 beta=90.00 gamma=90.00
Fractional positions:
Rb 0.250 0.250 0.247
Rb 0.750 0.750 0.753
Al 0.250 0.750 0.000
Al 0.750 0.250 0.000
In 0.250 0.750 0.500
In 0.750 0.250 0.500
Ge 0.250 0.250 0.888
Ge 0.750 0.750 0.112

Largest 12 diffraction maxima, by angle, 2θ from 10° to 90°:
hkl 0 0 2, 12.13°, rel. 29; hkl 0 0 3, 18.24°, rel. 39; hkl 0 0 4, 24.40°, rel. 29; hkl 1 0 2, 24.58°, rel. 22; hkl 1 0 3, 28.18°, rel. 71; hkl 1 1 1, 30.93°, rel. 54; hkl 1 1 2, 32.75°, rel. 100; hkl 1 1 4, 39.28°, rel. 21; hkl 2 0 0, 43.39°, rel. 46; hkl 1 1 6, 48.51°, rel. 48; hkl 2 0 4, 50.43°, rel. 21; hkl 2 1 3, 52.54°, rel. 24

***

[2]
# Cd2SbF
Calculated powder X-ray diffraction pattern, Cu Kα X-rays. Input: a crystal structure in Alexandria, relaxed with PBE.

Structural model:
Unit cell a=8.248 b=7.322 c=7.733 alpha=90.00 beta=114.56 gamma=90.00
Fractional positions:
Cd 0.114 0.195 0.384
Cd 0.114 0.305 0.884
Cd 0.385 0.697 0.053
Cd 0.385 0.803 0.553
Cd 0.615 0.197 0.447
Cd 0.615 0.303 0.947
Cd 0.886 0.695 0.116
Cd 0.886 0.805 0.616
Sb 0.224 0.532 0.278
Sb 0.224 0.968 0.778
Sb 0.776 0.032 0.222
Sb 0.776 0.468 0.722
F 0.346 0.054 0.338
F 0.346 0.446 0.838
F 0.654 0.554 0.162
F 0.654 0.946 0.662

Largest 12 diffraction maxima, by angle, 2θ from 10° to 90°:
hkl 1 1 -1, 17.94°, rel. 39; hkl 1 0 -2, 23.04°, rel. 44; hkl 1 1 1, 23.94°, rel. 37; hkl 2 1 0, 26.70°, rel. 100; hkl 0 2 1, 27.47°, rel. 39; hkl 0 1 2, 28.15°, rel. 64; hkl 2 1 -2, 29.29°, rel. 36; hkl 0 2 2, 35.39°, rel. 43; hkl 2 2 -2, 36.33°, rel. 60; hkl 2 0 2, 41.88°, rel. 34; hkl 4 0 -2, 44.29°, rel. 30; hkl 2 4 -1, 54.98°, rel. 48

***

Repeat the second record exactly.
# Cd2SbF
Calculated powder X-ray diffraction pattern, Cu Kα X-rays. Input: a crystal structure in Alexandria, relaxed with PBE.

Structural model:
Unit cell a=8.248 b=7.322 c=7.733 alpha=90.00 beta=114.56 gamma=90.00
Fractional positions:
Cd 0.114 0.195 0.384
Cd 0.114 0.305 0.884
Cd 0.385 0.697 0.053
Cd 0.385 0.803 0.553
Cd 0.615 0.197 0.447
Cd 0.615 0.303 0.947
Cd 0.886 0.695 0.116
Cd 0.886 0.805 0.616
Sb 0.224 0.532 0.278
Sb 0.224 0.968 0.778
Sb 0.776 0.032 0.222
Sb 0.776 0.468 0.722
F 0.346 0.054 0.338
F 0.346 0.446 0.838
F 0.654 0.554 0.162
F 0.654 0.946 0.662

Largest 12 diffraction maxima, by angle, 2θ from 10° to 90°:
hkl 1 1 -1, 17.94°, rel. 39; hkl 1 0 -2, 23.04°, rel. 44; hkl 1 1 1, 23.94°, rel. 37; hkl 2 1 0, 26.70°, rel. 100; hkl 0 2 1, 27.47°, rel. 39; hkl 0 1 2, 28.15°, rel. 64; hkl 2 1 -2, 29.29°, rel. 36; hkl 0 2 2, 35.39°, rel. 43; hkl 2 2 -2, 36.33°, rel. 60; hkl 2 0 2, 41.88°, rel. 34; hkl 4 0 -2, 44.29°, rel. 30; hkl 2 4 -1, 54.98°, rel. 48